No. 1
For CeGa2Pt5Au, DFT lattice parameters and positions (PBE) gives the simulated PXRD pattern in this record (Cu Kα (weighted mean of Kα1 and Kα2)).
Kinematic intensities with the Lorentz-polarization factor, no thermal factor.

Peak list (6 most intense, 10° ≤ 2θ ≤ 90°, low angle first)
| 2θ/deg | I_rel | h k l |
| --- | --- | --- |
| 36.25 | 1000 | 1 1 2 |
| 36.84 | 138 | 0 0 4 |
| 41.92 | 176 | 1 1 3 |
| 44.54 | 379 | 2 0 0 |
| 59.13 | 143 | 2 0 4 |
| 76.59 | 234 | 3 1 2 |

Structure:
```
data_CeGa2Pt5Au
_chemical_formula_sum 'Ce1 Ga2 Pt5 Au1'
_symmetry_space_group_name_H-M 'P 4/m m m'
_symmetry_Int_Tables_number 123
_symmetry_space_group_name_Hall '-P 4 2'
_cell_length_a 4.0683
_cell_length_b 4.0683
_cell_length_c 9.7602
_cell_angle_alpha 90.00
_cell_angle_beta 90.00
_cell_angle_gamma 90.00
loop_
_atom_site_label
_atom_site_fract_x
_atom_site_fract_y
_atom_site_fract_z
Ce1 0.0000 0.0000 0.0000
Ga1 0.5000 0.5000 0.3767
Pt1 0.0000 0.5000 0.2203
Pt2 0.5000 0.5000 0.0000
Au1 0.0000 0.0000 0.5000
```



No. 2
For Sr8Zn2Cu, DFT lattice parameters and positions (PBE) gives the simulated PXRD pattern in this record (Cu Kα (weighted mean of Kα1 and Kα2)).
Kinematic intensities with the Lorentz-polarization factor, no thermal factor.

Peak list (6 most intense, 10° ≤ 2θ ≤ 90°, low angle first)
| 2θ/deg | I_rel | h k l |
| --- | --- | --- |
| 23.52 | 391 | 2 2 -1 |
| 27.76 | 1000 | 2 2 1 |
| 28.37 | 348 | 3 1 -2 |
| 36.07 | 305 | 0 4 0 |
| 40.38 | 324 | 2 2 -3 |
| 42.69 | 292 | 5 3 -1 |

Structure:
```
data_Sr8Zn2Cu
_chemical_formula_sum 'Sr16 Zn4 Cu2'
_symmetry_space_group_name_H-M 'C 1 2/m 1'
_symmetry_Int_Tables_number 12
_cell_length_a 13.7696
_cell_length_b 9.9656
_cell_length_c 7.5077
_cell_angle_alpha 90.00
_cell_angle_beta 108.30
_cell_angle_gamma 90.00
loop_
_symmetry_equiv_pos_as_xyz
'x,y,z'
'-x,-y,-z'
'-x,y,-z'
'x,-y,z'
'x+1/2,y+1/2,z'
'-x+1/2,-y+1/2,-z'
'-x+1/2,y+1/2,-z'
'x+1/2,-y+1/2,z'
loop_
_atom_site_label
_atom_site_fract_x
_atom_site_fract_y
_atom_site_fract_z
Sr1 0.0803 0.0000 0.2824
Sr2 0.1319 0.5000 0.2418
Sr3 0.1457 0.2949 0.7463
Zn1 0.1815 0.0000 0.9431
Cu1 0.0000 0.5000 0.5000
```



No. 3
For AlVC, DFT lattice parameters and positions (PBE) gives the simulated PXRD pattern in this record (Cu Kα (weighted mean of Kα1 and Kα2)).
Kinematic intensities with the Lorentz-polarization factor, no thermal factor.

Peak list (6 most intense, 10° ≤ 2θ ≤ 90°, low angle first)
| 2θ/deg | I_rel | h k l |
| --- | --- | --- |
| 16.32 | 343 | 0 0 1 |
| 31.90 | 529 | 1 0 1 |
| 38.89 | 1000 | 1 1 1 |
| 39.81 | 350 | 0 1 2 |
| 43.28 | 261 | 1 0 2 |
| 44.14 | 393 | 0 2 0 |

Structure:
```
data_AlVC
_chemical_formula_sum 'Al2 V2 C2'
_symmetry_space_group_name_H-M 'P m m n'
_symmetry_Int_Tables_number 59
_cell_length_a 3.2760
_cell_length_b 4.1033
_cell_length_c 5.4311
_cell_angle_alpha 90.00
_cell_angle_beta 90.00
_cell_angle_gamma 90.00
loop_
_symmetry_equiv_pos_as_xyz
'x,y,z'
'-x,-y,-z'
'-x+1/2,-y+1/2,z'
'x+1/2,y+1/2,-z'
'x+1/2,-y,-z'
'-x+1/2,y,z'
'-x,y+1/2,-z'
'x,-y+1/2,z'
loop_
_atom_site_label
_atom_site_fract_x
_atom_site_fract_y
_atom_site_fract_z
Al1 0.2500 0.2500 0.0304
V1 0.2500 0.7500 0.3894
C1 0.2500 0.2500 0.3922
```



No. 4
For Nb4Re3Mo, DFT lattice parameters and positions (PBE) gives the simulated PXRD pattern in this record (Cu Kα (weighted mean of Kα1 and Kα2)).
Kinematic intensities with the Lorentz-polarization factor, no thermal factor.

Peak list (6 most intense, 10° ≤ 2θ ≤ 90°, low angle first)
| 2θ/deg | I_rel | h k l |
| --- | --- | --- |
| 27.77 | 83 | 1 0 0 |
| 39.68 | 1000 | 1 1 2 |
| 57.33 | 113 | 0 2 4 |
| 57.43 | 56 | 2 0 0 |
| 72.00 | 342 | 2 2 0 |
| 85.52 | 74 | 2 2 4 |

Structure:
```
data_Nb4Re3Mo
_chemical_formula_sum 'Nb4 Re3 Mo1'
_symmetry_space_group_name_H-M 'P m m m'
_symmetry_Int_Tables_number 47
_cell_length_a 3.2089
_cell_length_b 4.5446
_cell_length_c 9.0944
_cell_angle_alpha 90.00
_cell_angle_beta 90.00
_cell_angle_gamma 90.00
loop_
_symmetry_equiv_pos_as_xyz
'x,y,z'
'-x,-y,-z'
'-x,-y,z'
'x,y,-z'
'x,-y,-z'
'-x,y,z'
'-x,y,-z'
'x,-y,z'
loop_
_atom_site_label
_atom_site_fract_x
_atom_site_fract_y
_atom_site_fract_z
Nb1 0.0000 0.0000 0.0000
Nb2 0.0000 0.0000 0.5000
Nb3 0.0000 0.5000 0.2494
Re1 0.5000 0.0000 0.2485
Re2 0.5000 0.5000 0.0000
Mo1 0.5000 0.5000 0.5000
```